(1)
TbDy2Ir2: computed powder diffraction line list (a wavelength of 1.5418 Å), based on a cell relaxed with PBE.
Neutral-atom scattering factors, no anomalous dispersion.

Peak list (8 most intense, 2θ from 10° to 90°, most intense first)
| index | 2θ (°) | intensity |
| --- | --- | --- |
| 0 1 2 | 36.88 | 100.0 |
| 1 1 0 | 37.68 | 90.6 |
| 1 2 2 | 67.49 | 34.6 |
| 2 0 2 | 53.75 | 34.2 |
| 1 0 0 | 21.49 | 18.8 |
| 1 0 4 | 65.91 | 18.7 |
| 0 1 1 | 26.13 | 16.5 |
| 3 0 0 | 68.02 | 16.2 |

Crystal structure
```
data_TbDy2Ir2
_chemical_formula_sum 'Tb1 Dy2 Ir2'
_cell_length_a 4.7747
_cell_length_b 4.7747
_cell_length_c 6.0338
_cell_angle_alpha 90.00
_cell_angle_beta 90.00
_cell_angle_gamma 120.00
_symmetry_space_group_name_H-M 'P -3 m 1'
_symmetry_Int_Tables_number 164
_symmetry_space_group_name_Hall '-P 3 2"'
loop_
_atom_site_label
_atom_site_type_symbol
_atom_site_fract_x
_atom_site_fract_y
_atom_site_fract_z
Tb1 Tb 0.0000 0.0000 0.0000
Dy1 Dy 0.3333 0.6667 0.6636
Ir1 Ir 0.3333 0.6667 0.1721
```

(2)
Dy3Te2Ir: computed powder diffraction line list (a wavelength of 1.5418 Å), based on a cell relaxed with PBE.
Neutral-atom scattering factors, no anomalous dispersion.

Peak list (8 most intense, 2θ from 10° to 90°, most intense first)
| index | 2θ (°) | intensity |
| --- | --- | --- |
| 2 0 6 | 29.45 | 100.0 |
| 2 4 6 | 42.03 | 71.7 |
| 0 4 0 | 29.31 | 52.5 |
| 0 4 12 | 52.67 | 19.9 |
| 0 0 12 | 42.74 | 17.3 |
| 4 0 0 | 41.53 | 16.9 |
| 1 1 1 | 12.98 | 16.9 |
| 4 4 0 | 51.64 | 16.9 |

Crystal structure
```
data_Dy3Te2Ir
_chemical_formula_sum 'Dy48 Te32 Ir16'
_cell_length_a 8.6973
_cell_length_b 12.1891
_cell_length_c 25.3888
_cell_angle_alpha 90.00
_cell_angle_beta 90.00
_cell_angle_gamma 90.00
_symmetry_space_group_name_H-M 'F d d d'
_symmetry_Int_Tables_number 70
loop_
_symmetry_equiv_pos_as_xyz
'x,y,z'
'-x,-y,-z'
'-x+1/4,-y+1/4,z'
'x+1/4,y+1/4,-z'
'x,-y+1/4,-z+1/4'
'-x,y+1/4,z+1/4'
'-x+1/4,y,-z+1/4'
'x+1/4,-y,z+1/4'
'x,y+1/2,z+1/2'
'-x,-y+1/2,-z+1/2'
'-x+1/4,-y+3/4,z+1/2'
'x+1/4,y+3/4,-z+1/2'
'x,-y+3/4,-z+3/4'
'-x,y+3/4,z+3/4'
'-x+1/4,y+1/2,-z+3/4'
'x+1/4,-y+1/2,z+3/4'
'x+1/2,y,z+1/2'
'-x+1/2,-y,-z+1/2'
'-x+3/4,-y+1/4,z+1/2'
'x+3/4,y+1/4,-z+1/2'
'x+1/2,-y+1/4,-z+3/4'
'-x+1/2,y+1/4,z+3/4'
'-x+3/4,y,-z+3/4'
'x+3/4,-y,z+3/4'
'x+1/2,y+1/2,z'
'-x+1/2,-y+1/2,-z'
'-x+3/4,-y+3/4,z'
'x+3/4,y+3/4,-z'
'x+1/2,-y+3/4,-z+1/4'
'-x+1/2,y+3/4,z+1/4'
'-x+3/4,y+1/2,-z+1/4'
'x+3/4,-y+1/2,z+1/4'
loop_
_atom_site_label
_atom_site_type_symbol
_atom_site_fract_x
_atom_site_fract_y
_atom_site_fract_z
Dy1 Dy 0.0863 0.3750 0.3750
Dy2 Dy 0.1046 0.3576 0.2159
Te1 Te 0.1250 0.1250 0.3803
Te2 Te 0.1250 0.1250 0.5462
Ir1 Ir 0.1250 0.1250 0.0416
```

(3)
Dy4Te5Ir: computed powder diffraction line list (a wavelength of 1.5418 Å), based on a cell relaxed with PBE.
Neutral-atom scattering factors, no anomalous dispersion.

Peak list (8 most intense, 2θ from 10° to 90°, most intense first)
| index | 2θ (°) | intensity |
| --- | --- | --- |
| 1 1 -2 | 29.87 | 100.0 |
| 7 1 -2 | 42.62 | 54.8 |
| 6 0 0 | 29.58 | 51.0 |
| 5 1 2 | 42.45 | 38.1 |
| 0 0 1 | 10.69 | 31.0 |
| 6 2 0 | 52.98 | 20.0 |
| 0 2 0 | 42.91 | 19.0 |
| 4 2 4 | 70.13 | 15.8 |

Crystal structure
```
data_Dy4Te5Ir
_chemical_formula_sum 'Dy8 Te10 Ir2'
_cell_length_a 18.5877
_cell_length_b 4.2151
_cell_length_c 8.4888
_cell_angle_alpha 90.00
_cell_angle_beta 102.86
_cell_angle_gamma 90.00
_symmetry_space_group_name_H-M 'C 1 2/m 1'
_symmetry_Int_Tables_number 12
loop_
_symmetry_equiv_pos_as_xyz
'x,y,z'
'-x,-y,-z'
'-x,y,-z'
'x,-y,z'
'x+1/2,y+1/2,z'
'-x+1/2,-y+1/2,-z'
'-x+1/2,y+1/2,-z'
'x+1/2,-y+1/2,z'
loop_
_atom_site_label
_atom_site_type_symbol
_atom_site_fract_x
_atom_site_fract_y
_atom_site_fract_z
Dy1 Dy 0.0001 0.0000 0.2331
Dy2 Dy 0.1586 0.5000 0.0840
Te1 Te 0.0000 0.5000 0.5000
Te2 Te 0.1668 0.0000 0.3434
Te3 Te 0.1696 0.0000 0.8244
Ir1 Ir 0.0000 0.5000 0.0000
```

(4)
DyTm3Ir: computed powder diffraction line list (a wavelength of 1.5418 Å), based on a cell relaxed with PBE.
Neutral-atom scattering factors, no anomalous dispersion.

Peak list (8 most intense, 2θ from 10° to 90°, most intense first)
| index | 2θ (°) | intensity |
| --- | --- | --- |
| 2 2 -2 | 30.92 | 100.0 |
| 4 0 -3 | 35.73 | 57.0 |
| 1 3 -1 | 33.62 | 50.2 |
| 1 3 1 | 39.81 | 42.6 |
| 0 0 2 | 30.68 | 35.6 |
| 2 2 0 | 29.62 | 31.0 |
| 4 0 -1 | 33.45 | 30.7 |
| 3 3 -2 | 40.58 | 29.1 |

Crystal structure
```
data_DyTm3Ir
_chemical_formula_sum 'Dy4 Tm12 Ir4'
_cell_length_a 11.6067
_cell_length_b 8.4967
_cell_length_c 7.8975
_cell_angle_alpha 90.00
_cell_angle_beta 132.43
_cell_angle_gamma 90.00
_symmetry_space_group_name_H-M 'C 1 2/m 1'
_symmetry_Int_Tables_number 12
loop_
_symmetry_equiv_pos_as_xyz
'x,y,z'
'-x,-y,-z'
'-x,y,-z'
'x,-y,z'
'x+1/2,y+1/2,z'
'-x+1/2,-y+1/2,-z'
'-x+1/2,y+1/2,-z'
'x+1/2,-y+1/2,z'
loop_
_atom_site_label
_atom_site_type_symbol
_atom_site_fract_x
_atom_site_fract_y
_atom_site_fract_z
Dy1 Dy 0.0526 0.0000 0.3401
Tm1 Tm 0.0566 0.5000 0.2611
Tm2 Tm 0.2431 0.3040 0.7862
Ir1 Ir 0.2473 0.5000 0.1167
```

(5)
Dy3TmIr4: computed powder diffraction line list (a wavelength of 1.5418 Å), based on a cell relaxed with PBE.
Neutral-atom scattering factors, no anomalous dispersion.

Peak list (8 most intense, 2θ from 10° to 90°, most intense first)
| index | 2θ (°) | intensity |
| --- | --- | --- |
| 1 1 2 | 36.87 | 100.0 |
| 0 2 0 | 38.15 | 45.5 |
| 1 3 2 | 68.11 | 33.7 |
| 2 2 0 | 65.56 | 18.9 |
| 0 2 4 | 55.06 | 15.9 |
| 2 2 4 | 78.45 | 11.4 |
| 2 0 0 | 51.14 | 9.9 |
| 3 1 2 | 86.85 | 9.1 |

Crystal structure
```
data_Dy3TmIr4
_chemical_formula_sum 'Dy3 Tm1 Ir4'
_cell_length_a 3.5723
_cell_length_b 4.7173
_cell_length_c 9.4364
_cell_angle_alpha 90.00
_cell_angle_beta 90.00
_cell_angle_gamma 90.00
_symmetry_space_group_name_H-M 'P m m m'
_symmetry_Int_Tables_number 47
loop_
_symmetry_equiv_pos_as_xyz
'x,y,z'
'-x,-y,-z'
'-x,-y,z'
'x,y,-z'
'x,-y,-z'
'-x,y,z'
'-x,y,-z'
'x,-y,z'
loop_
_atom_site_label
_atom_site_type_symbol
_atom_site_fract_x
_atom_site_fract_y
_atom_site_fract_z
Dy1 Dy 0.0000 0.0000 0.0000
Dy2 Dy 0.0000 0.5000 0.2514
Tm1 Tm 0.0000 0.0000 0.5000
Ir1 Ir 0.5000 0.0000 0.2527
Ir2 Ir 0.5000 0.5000 0.0000
Ir3 Ir 0.5000 0.5000 0.5000
```

(6)
Dy2TmIr3: computed powder diffraction line list (a wavelength of 1.5418 Å), based on a cell relaxed with PBE.
Neutral-atom scattering factors, no anomalous dispersion.

Peak list (5 most intense, 2θ from 10° to 90°, most intense first)
| index | 2θ (°) | intensity |
| --- | --- | --- |
| 1 1 0 | 37.26 | 100.0 |
| 3 0 0 | 67.19 | 36.1 |
| 2 0 2 | 53.72 | 17.6 |
| 2 2 0 | 79.43 | 11.4 |
| 1 0 1 | 26.11 | 0.7 |

Crystal structure
```
data_Dy2TmIr3
_chemical_formula_sum 'Dy2 Tm1 Ir3'
_cell_length_a 4.8266
_cell_length_b 4.8266
_cell_length_c 5.9099
_cell_angle_alpha 90.00
_cell_angle_beta 90.00
_cell_angle_gamma 120.00
_symmetry_space_group_name_H-M 'P -3 m 1'
_symmetry_Int_Tables_number 164
_symmetry_space_group_name_Hall '-P 3 2"'
loop_
_atom_site_label
_atom_site_type_symbol
_atom_site_fract_x
_atom_site_fract_y
_atom_site_fract_z
Dy1 Dy 0.3333 0.6667 0.1676
Tm1 Tm 0.0000 0.0000 0.5000
Ir1 Ir 0.0000 0.0000 0.0000
Ir2 Ir 0.3333 0.6667 0.6640
```

(7)
DyTm2Ir3: computed powder diffraction line list (a wavelength of 1.5418 Å), based on a cell relaxed with PBE.
Neutral-atom scattering factors, no anomalous dispersion.

Peak list (5 most intense, 2θ from 10° to 90°, most intense first)
| index | 2θ (°) | intensity |
| --- | --- | --- |
| 1 1 0 | 37.44 | 100.0 |
| 3 0 0 | 67.54 | 36.1 |
| 2 0 2 | 53.98 | 17.6 |
| 2 2 0 | 79.86 | 11.4 |
| 1 0 1 | 26.23 | 0.5 |

Crystal structure
```
data_DyTm2Ir3
_chemical_formula_sum 'Dy1 Tm2 Ir3'
_cell_length_a 4.8041
_cell_length_b 4.8041
_cell_length_c 5.8842
_cell_angle_alpha 90.00
_cell_angle_beta 90.00
_cell_angle_gamma 120.00
_symmetry_space_group_name_H-M 'P -3 m 1'
_symmetry_Int_Tables_number 164
_symmetry_space_group_name_Hall '-P 3 2"'
loop_
_atom_site_label
_atom_site_type_symbol
_atom_site_fract_x
_atom_site_fract_y
_atom_site_fract_z
Dy1 Dy 0.0000 0.0000 0.0000
Tm1 Tm 0.3333 0.6667 0.6656
Ir1 Ir 0.0000 0.0000 0.5000
Ir2 Ir 0.3333 0.6667 0.1693
```

(8)
Dy2Tm2Ir3: computed powder diffraction line list (a wavelength of 1.5418 Å), based on a cell relaxed with PBE.
Neutral-atom scattering factors, no anomalous dispersion.

Peak list (8 most intense, 2θ from 10° to 90°, most intense first)
| index | 2θ (°) | intensity |
| --- | --- | --- |
| 2 0 2 | 37.40 | 100.0 |
| 0 2 0 | 37.77 | 97.4 |
| 2 2 2 | 54.20 | 34.7 |
| 4 2 -4 | 67.91 | 23.6 |
| 1 1 5 | 67.21 | 18.2 |
| 6 0 -2 | 68.19 | 17.5 |
| 0 0 1 | 11.21 | 16.1 |
| 5 1 1 | 68.02 | 11.7 |

Crystal structure
```
data_Dy2Tm2Ir3
_chemical_formula_sum 'Dy4 Tm4 Ir6'
_cell_length_a 8.2482
_cell_length_b 4.7658
_cell_length_c 8.3611
_cell_angle_alpha 90.00
_cell_angle_beta 109.29
_cell_angle_gamma 90.00
_symmetry_space_group_name_H-M 'C 1 2/m 1'
_symmetry_Int_Tables_number 12
loop_
_symmetry_equiv_pos_as_xyz
'x,y,z'
'-x,-y,-z'
'-x,y,-z'
'x,-y,z'
'x+1/2,y+1/2,z'
'-x+1/2,-y+1/2,-z'
'-x+1/2,y+1/2,-z'
'x+1/2,-y+1/2,z'
loop_
_atom_site_label
_atom_site_type_symbol
_atom_site_fract_x
_atom_site_fract_y
_atom_site_fract_z
Dy1 Dy 0.1250 0.0000 0.3752
Tm1 Tm 0.1244 0.5000 0.8738
Ir1 Ir 0.0000 0.0000 0.0000
Ir2 Ir 0.2489 0.5000 0.2471
```

(9)
Dy5YIr6: computed powder diffraction line list (a wavelength of 1.5418 Å), based on a cell relaxed with PBE.
Neutral-atom scattering factors, no anomalous dispersion.

Peak list (8 most intense, 2θ from 10° to 90°, most intense first)
| index | 2θ (°) | intensity |
| --- | --- | --- |
| 1 2 1 | 36.73 | 100.0 |
| 0 0 3 | 37.98 | 45.7 |
| 3 2 0 | 67.77 | 25.3 |
| 0 4 3 | 65.32 | 18.8 |
| 2 0 2 | 54.79 | 16.0 |
| 2 4 2 | 78.12 | 11.4 |
| 0 4 0 | 51.00 | 9.9 |
| 1 6 1 | 86.56 | 9.1 |

Crystal structure
```
data_Dy5YIr6
_chemical_formula_sum 'Dy5 Y1 Ir6'
_cell_length_a 4.7363
_cell_length_b 7.1627
_cell_length_c 7.4928
_cell_angle_alpha 90.00
_cell_angle_beta 108.35
_cell_angle_gamma 90.00
_symmetry_space_group_name_H-M 'P 1 2/m 1'
_symmetry_Int_Tables_number 10
loop_
_symmetry_equiv_pos_as_xyz
'x,y,z'
'-x,-y,-z'
'-x,y,-z'
'x,-y,z'
loop_
_atom_site_label
_atom_site_type_symbol
_atom_site_fract_x
_atom_site_fract_y
_atom_site_fract_z
Dy1 Dy 0.0000 0.0000 0.0000
Dy2 Dy 0.3334 0.0000 0.6668
Dy3 Dy 0.3333 0.5000 0.6667
Y1 Y 0.0000 0.5000 0.0000
Ir1 Ir 0.1670 0.2495 0.3340
Ir2 Ir 0.5000 0.2490 0.0000
```

(10)
Dy4YIr2: computed powder diffraction line list (a wavelength of 1.5418 Å), based on a cell relaxed with PBE.
Neutral-atom scattering factors, no anomalous dispersion.

Peak list (8 most intense, 2θ from 10° to 90°, most intense first)
| index | 2θ (°) | intensity |
| --- | --- | --- |
| 1 2 -2 | 36.51 | 100.0 |
| 2 2 0 | 37.66 | 70.4 |
| 1 0 2 | 31.39 | 66.5 |
| 2 1 -2 | 30.76 | 61.8 |
| 1 0 -3 | 34.23 | 55.4 |
| 0 1 3 | 39.82 | 54.8 |
| 0 4 0 | 58.23 | 51.5 |
| 0 0 1 | 12.17 | 47.0 |

Crystal structure
```
data_Dy4YIr2
_chemical_formula_sum 'Dy8 Y2 Ir4'
_cell_length_a 7.8609
_cell_length_b 6.3404
_cell_length_c 7.8764
_cell_angle_alpha 90.00
_cell_angle_beta 112.53
_cell_angle_gamma 90.00
_symmetry_space_group_name_H-M 'P 1 21/m 1'
_symmetry_Int_Tables_number 11
loop_
_symmetry_equiv_pos_as_xyz
'x,y,z'
'-x,-y,-z'
'-x,y+1/2,-z'
'x,-y+1/2,z'
loop_
_atom_site_label
_atom_site_type_symbol
_atom_site_fract_x
_atom_site_fract_y
_atom_site_fract_z
Dy1 Dy 0.1209 0.2500 0.4843
Dy2 Dy 0.1660 0.7500 0.2506
Dy3 Dy 0.2626 0.5028 0.9153
Y1 Y 0.4735 0.2500 0.3428
Ir1 Ir 0.0888 0.2500 0.1264
Ir2 Ir 0.4860 0.2500 0.7588
```

(11)
Dy6Zn5Ir: computed powder diffraction line list (a wavelength of 1.5418 Å), based on a cell relaxed with PBE.
Neutral-atom scattering factors, no anomalous dispersion.

Peak list (8 most intense, 2θ from 10° to 90°, most intense first)
| index | 2θ (°) | intensity |
| --- | --- | --- |
| 2 0 0 | 35.88 | 100.0 |
| 3 3 2 | 64.49 | 34.8 |
| 2 6 0 | 51.68 | 11.5 |
| 4 0 0 | 76.06 | 10.6 |
| 4 6 0 | 87.12 | 9.9 |
| 1 3 0 | 25.16 | 9.4 |
| 0 0 4 | 51.58 | 5.9 |
| 1 3 6 | 86.95 | 5.1 |

Crystal structure
```
data_Dy6Zn5Ir
_chemical_formula_sum 'Dy12 Zn10 Ir2'
_cell_length_a 5.0029
_cell_length_b 15.0058
_cell_length_c 7.0879
_cell_angle_alpha 90.00
_cell_angle_beta 90.00
_cell_angle_gamma 90.00
_symmetry_space_group_name_H-M 'C m m m'
_symmetry_Int_Tables_number 65
_symmetry_space_group_name_Hall '-C 2 2'
loop_
_atom_site_label
_atom_site_type_symbol
_atom_site_fract_x
_atom_site_fract_y
_atom_site_fract_z
Dy1 Dy 0.0000 0.0000 0.2397
Dy2 Dy 0.0000 0.3392 0.2455
Zn1 Zn 0.0000 0.1691 0.5000
Zn2 Zn 0.0000 0.1758 0.0000
Zn3 Zn 0.0000 0.5000 0.5000
Ir1 Ir 0.0000 0.5000 0.0000
```

(12)
Dy5Zn4Ir: computed powder diffraction line list (a wavelength of 1.5418 Å), based on a cell relaxed with PBE.
Neutral-atom scattering factors, no anomalous dispersion.

Peak list (8 most intense, 2θ from 10° to 90°, most intense first)
| index | 2θ (°) | intensity |
| --- | --- | --- |
| 1 1 0 | 35.85 | 100.0 |
| 2 1 5 | 64.38 | 23.8 |
| 2 0 0 | 51.52 | 12.0 |
| 1 1 10 | 64.54 | 11.0 |
| 3 1 0 | 86.84 | 10.7 |
| 2 0 10 | 76.05 | 6.9 |
| 0 0 10 | 51.77 | 5.7 |
| 1 0 0 | 25.10 | 5.5 |

Crystal structure
```
data_Dy5Zn4Ir
_chemical_formula_sum 'Dy5 Zn4 Ir1'
_cell_length_a 3.5476
_cell_length_b 3.5476
_cell_length_c 17.6586
_cell_angle_alpha 90.00
_cell_angle_beta 90.00
_cell_angle_gamma 90.00
_symmetry_space_group_name_H-M 'P 4/m m m'
_symmetry_Int_Tables_number 123
_symmetry_space_group_name_Hall '-P 4 2'
loop_
_atom_site_label
_atom_site_type_symbol
_atom_site_fract_x
_atom_site_fract_y
_atom_site_fract_z
Dy1 Dy 0.0000 0.0000 0.0000
Dy2 Dy 0.0000 0.0000 0.2026
Dy3 Dy 0.0000 0.0000 0.4091
Zn1 Zn 0.5000 0.5000 0.1018
Zn2 Zn 0.5000 0.5000 0.3017
Ir1 Ir 0.5000 0.5000 0.5000
```